No. 1
Theoretical PXRD pattern of RbAg6Se2 for Cu Ka, from the GGA-PBE geometry in Alexandria.
Neutral-atom scattering factors, no anomalous dispersion.

Crystal structure
```
9
Lattice="4.3603 0.0000 0.0000 0.0000 4.3603 0.0000 0.0000 0.0000 10.9293" Properties=species:S:1:pos:R:3 pbc="T T T"
Rb 0.0000 0.0000 0.0000
Ag 0.0000 0.0000 5.4646
Ag 0.0000 2.1802 3.5159
Ag 0.0000 2.1802 7.4133
Ag 2.1802 0.0000 3.5159
Ag 2.1802 0.0000 7.4133
Ag 2.1802 2.1802 5.4646
Se 2.1802 2.1802 1.9200
Se 2.1802 2.1802 9.0092
```

Peak list (10 most intense, 5° ≤ 2θ ≤ 70°, in order of rising 2θ)
d [Å]	Position (°2θ)	I (rel.)
10.929	8.09	100
3.408	26.15	14
2.796	32.01	15
2.685	33.37	56
2.353	38.24	83
2.180	41.42	52
2.045	44.30	14
1.822	50.08	13
1.542	59.99	22
1.398	66.94	21


No. 2
Theoretical PXRD pattern of RbAg5Se3 for Cu Ka, from the GGA-PBE geometry in Alexandria.
Neutral-atom scattering factors, no anomalous dispersion.

Crystal structure
```
18
Lattice="6.0726 0.0000 0.0000 0.0000 6.0726 0.0000 0.0000 0.0000 11.4909" Properties=species:S:1:pos:R:3 pbc="T T T"
Rb 1.5182 4.5545 0.0000
Rb 4.5545 1.5182 0.0000
Ag 0.3128 3.3491 3.5721
Ag 0.3128 5.7598 7.9188
Ag 1.5182 1.5182 5.7455
Ag 2.7235 3.3491 7.9188
Ag 2.7235 5.7598 3.5721
Ag 3.3491 0.3128 7.9188
Ag 3.3491 2.7235 3.5721
Ag 4.5545 4.5545 5.7455
Ag 5.7598 0.3128 3.5721
Ag 5.7598 2.7235 7.9188
Se 1.5182 1.5182 2.0171
Se 1.5182 1.5182 9.4738
Se 1.5182 4.5545 5.7455
Se 4.5545 1.5182 5.7455
Se 4.5545 4.5545 2.0171
Se 4.5545 4.5545 9.4738
```

Peak list (10 most intense, 5° ≤ 2θ ≤ 70°, in order of rising 2θ)
d [Å]	Position (°2θ)	I (rel.)
11.491	7.69	100
2.858	31.29	41
2.684	33.38	67
2.643	33.92	37
2.455	36.60	17
2.379	37.81	84
2.147	42.09	46
1.973	45.99	18
1.915	47.47	16
1.429	65.29	18


No. 3
Theoretical PXRD pattern of RbSm2Ag3Se5 for Cu Ka, from the GGA-PBE geometry in Alexandria.
Neutral-atom scattering factors, no anomalous dispersion.

Crystal structure
```
22
Lattice="2.1903 -7.7365 0.0000 2.1903 7.7365 0.0000 0.0000 0.0000 17.6441" Properties=species:S:1:pos:R:3 pbc="T T T"
Rb 2.1903 6.7460 13.2330
Rb 2.1903 -6.7460 4.4110
Sm 2.1903 4.7893 1.6764
Sm 2.1903 4.7893 7.1456
Sm 2.1903 -4.7893 10.4984
Sm 2.1903 -4.7893 15.9676
Ag 2.1903 2.4893 13.2330
Ag 2.1903 1.3333 0.6464
Ag 2.1903 1.3333 8.1756
Ag 2.1903 -1.3333 9.4685
Ag 2.1903 -1.3333 16.9976
Ag 2.1903 -2.4893 4.4110
Se 2.1903 4.9674 10.0844
Se 2.1903 4.9674 16.3817
Se 2.1903 3.7607 4.4110
Se 2.1903 0.9948 10.9280
Se 2.1903 0.9948 15.5381
Se 2.1903 -0.9948 2.1060
Se 2.1903 -0.9948 6.7161
Se 2.1903 -3.7607 13.2330
Se 2.1903 -4.9674 1.2623
Se 2.1903 -4.9674 7.5597
```

Peak list (10 most intense, 5° ≤ 2θ ≤ 70°, in order of rising 2θ)
d [Å]	Position (°2θ)	I (rel.)
7.737	11.44	43
3.281	27.18	62
3.123	28.59	82
2.941	30.40	70
2.662	33.67	90
2.528	35.52	69
2.429	37.00	80
2.397	37.53	43
2.191	41.20	100
2.012	45.07	80